1.
The following is a calculated X-ray diffraction stick pattern of FeHgI5. It was derived from a cell relaxed with PBE, using Cu Kα (weighted mean of Kα1 and Kα2).

The 10 most intense peaks (2θ from 10° to 90°), most intense first:
| 2theta | I (rel.) | hkl |
| --- | --- | --- |
| 24.91 | 100 | 0 2 2 |
| 30.95 | 61 | 3 1 3 |
| 15.75 | 57 | 2 0 1 |
| 14.53 | 53 | 1 0 2 |
| 14.38 | 45 | 2 0 0 |
| 23.90 | 41 | 2 0 3 |
| 41.50 | 38 | 2 2 5 |
| 21.39 | 33 | 0 2 0 |
| 26.68 | 32 | 2 2 1 |
| 18.05 | 32 | 1 1 2 |

Crystal structure
```
data_FeHgI5
_cell_length_a 12.2809
_cell_length_b 8.3068
_cell_length_c 14.0441
_cell_angle_alpha 90.00
_cell_angle_beta 90.00
_cell_angle_gamma 90.00
_space_group_name_H-M_alt 'P n m a'
_space_group_IT_number 62
_space_group_name_Hall '-P 2ac 2n'
loop_
_atom_site_label
_atom_site_type_symbol
_atom_site_fract_x
_atom_site_fract_y
_atom_site_fract_z
_atom_site_occupancy
Fe1 Fe 0.1046 0.2500 0.1206 1
Hg1 Hg 0.2302 0.7500 0.1245 1
I1 I 0.0761 0.2500 0.5375 1
I2 I 0.0941 0.7500 0.9309 1
I3 I 0.1296 0.0044 0.2349 1
I4 I 0.2398 0.2500 0.9890 1
```



2.
The following is a calculated X-ray diffraction stick pattern of FeHg2I6. It was derived from a cell relaxed with PBE, using Cu Kα (weighted mean of Kα1 and Kα2).

The 10 most intense peaks (2θ from 10° to 90°), most intense first:
| 2theta | I (rel.) | hkl |
| --- | --- | --- |
| 16.44 | 100 | 2 2 0 |
| 12.02 | 74 | 2 0 0 |
| 25.00 | 73 | 1 1 -2 |
| 42.12 | 62 | 4 6 0 |
| 24.44 | 59 | 4 2 -1 |
| 13.00 | 57 | 1 1 -1 |
| 23.84 | 51 | 1 3 1 |
| 41.81 | 51 | 0 2 3 |
| 24.32 | 50 | 2 2 1 |
| 22.47 | 44 | 0 4 0 |

Crystal structure
```
data_FeHg2I6
_cell_length_a 16.5020
_cell_length_b 15.8280
_cell_length_c 7.5467
_cell_angle_alpha 90.00
_cell_angle_beta 116.82
_cell_angle_gamma 90.00
_space_group_name_H-M_alt 'C 1 2/c 1'
_space_group_IT_number 15
_space_group_name_Hall '-C 2yc'
loop_
_atom_site_label
_atom_site_type_symbol
_atom_site_fract_x
_atom_site_fract_y
_atom_site_fract_z
_atom_site_occupancy
Fe1 Fe 0.0000 0.2384 0.2500 1
Hg1 Hg 0.2418 0.4200 0.4352 1
I1 I 0.0943 0.3293 0.1226 1
I2 I 0.0951 0.1475 0.5632 1
I3 I 0.2324 0.4072 0.8002 1
```



3.
The following is a calculated X-ray diffraction stick pattern of Fe3HgI12. It was derived from a cell relaxed with PBE, using Cu Kα (weighted mean of Kα1 and Kα2).

The 10 most intense peaks (2θ from 10° to 90°), most intense first:
| 2theta | I (rel.) | hkl |
| --- | --- | --- |
| 25.49 | 100 | 3 0 0 |
| 19.79 | 65 | 0 1 8 |
| 23.95 | 42 | 1 0 10 |
| 24.69 | 39 | 2 0 8 |
| 28.86 | 38 | 0 3 6 |
| 13.37 | 33 | 0 0 6 |
| 48.79 | 32 | 3 0 18 |
| 41.73 | 32 | 2 3 8 |
| 44.92 | 29 | 3 3 0 |
| 44.01 | 28 | 3 2 10 |

Crystal structure
```
data_Fe3HgI12
_cell_length_a 12.1063
_cell_length_b 12.1063
_cell_length_c 39.7356
_cell_angle_alpha 90.00
_cell_angle_beta 90.00
_cell_angle_gamma 120.00
_space_group_name_H-M_alt 'R 3 c'
_space_group_IT_number 161
_space_group_name_Hall 'R 3 -2"c'
loop_
_atom_site_label
_atom_site_type_symbol
_atom_site_fract_x
_atom_site_fract_y
_atom_site_fract_z
_atom_site_occupancy
Fe1 Fe 0.0117 0.3095 0.0000 1
Hg1 Hg 0.0000 0.0000 0.4451 1
I1 I 0.0703 0.5062 0.6099 1
I2 I 0.0857 0.2339 0.0488 1
I3 I 0.0948 0.5359 0.8308 1
I4 I 0.1051 0.2242 0.3310 1
```



4.
The following is a calculated X-ray diffraction stick pattern of FeHg2I2. It was derived from a cell relaxed with PBE, using Cu Kα (weighted mean of Kα1 and Kα2).

The 10 most intense peaks (2θ from 10° to 90°), most intense first:
| 2theta | I (rel.) | hkl |
| --- | --- | --- |
| 33.25 | 100 | 1 1 2 |
| 36.65 | 52 | 1 1 4 |
| 26.11 | 51 | 0 0 6 |
| 17.32 | 37 | 0 0 4 |
| 45.95 | 31 | 2 0 0 |
| 53.61 | 28 | 2 0 6 |
| 31.47 | 28 | 1 0 5 |
| 55.66 | 25 | 1 1 10 |
| 48.23 | 21 | 1 1 8 |
| 22.93 | 19 | 1 0 1 |

Crystal structure
```
data_FeHg2I2
_cell_length_a 3.9501
_cell_length_b 3.9501
_cell_length_c 20.4754
_cell_angle_alpha 90.00
_cell_angle_beta 90.00
_cell_angle_gamma 90.00
_space_group_name_H-M_alt 'I 4/m m m'
_space_group_IT_number 139
_space_group_name_Hall '-I 4 2'
loop_
_atom_site_label
_atom_site_type_symbol
_atom_site_fract_x
_atom_site_fract_y
_atom_site_fract_z
_atom_site_occupancy
Fe1 Fe 0.0000 0.0000 0.0000 1
Hg1 Hg 0.0000 0.5000 0.2500 1
I1 I 0.0000 0.0000 0.4148 1
```



5.
The following is a calculated X-ray diffraction stick pattern of Fe2HgIr. It was derived from a cell relaxed with PBE, using Cu Kα (weighted mean of Kα1 and Kα2).

The 10 most intense peaks (2θ from 10° to 90°), most intense first:
| 2theta | I (rel.) | hkl |
| --- | --- | --- |
| 39.92 | 100 | 1 0 2 |
| 45.87 | 34 | 1 1 0 |
| 23.24 | 30 | 0 0 2 |
| 31.99 | 26 | 1 0 0 |
| 80.82 | 26 | 2 1 2 |
| 68.18 | 19 | 1 1 4 |
| 52.04 | 15 | 1 1 2 |
| 47.52 | 14 | 0 0 4 |
| 58.43 | 12 | 1 0 4 |
| 66.88 | 11 | 2 0 0 |

Crystal structure
```
data_Fe2HgIr
_cell_length_a 2.7978
_cell_length_b 2.7978
_cell_length_c 7.6541
_cell_angle_alpha 90.00
_cell_angle_beta 90.00
_cell_angle_gamma 90.00
_space_group_name_H-M_alt 'P 4/m m m'
_space_group_IT_number 123
_space_group_name_Hall '-P 4 2'
loop_
_atom_site_label
_atom_site_type_symbol
_atom_site_fract_x
_atom_site_fract_y
_atom_site_fract_z
_atom_site_occupancy
Fe1 Fe 0.0000 0.0000 0.2256 1
Hg1 Hg 0.5000 0.5000 0.5000 1
Ir1 Ir 0.5000 0.5000 0.0000 1
```



6.
The following is a calculated X-ray diffraction stick pattern of Fe2HgIr. It was derived from a cell relaxed with PBE, using Cu Kα (weighted mean of Kα1 and Kα2).

The 10 most intense peaks (2θ from 10° to 90°), most intense first:
| 2theta | I (rel.) | hkl |
| --- | --- | --- |
| 40.51 | 100 | 1 0 2 |
| 32.77 | 51 | 1 0 1 |
| 42.66 | 50 | 1 1 0 |
| 76.64 | 31 | 2 1 2 |
| 13.31 | 25 | 0 0 1 |
| 60.42 | 17 | 1 1 3 |
| 61.91 | 16 | 2 0 0 |
| 40.69 | 14 | 0 0 3 |
| 71.84 | 12 | 2 1 1 |
| 72.20 | 11 | 1 1 4 |

Crystal structure
```
data_Fe2HgIr
_cell_length_a 2.9974
_cell_length_b 2.9974
_cell_length_c 6.6522
_cell_angle_alpha 90.00
_cell_angle_beta 90.00
_cell_angle_gamma 90.00
_space_group_name_H-M_alt 'P 4 m m'
_space_group_IT_number 99
_space_group_name_Hall 'P 4 -2'
loop_
_atom_site_label
_atom_site_type_symbol
_atom_site_fract_x
_atom_site_fract_y
_atom_site_fract_z
_atom_site_occupancy
Fe1 Fe 0.0000 0.0000 0.0000 1
Fe2 Fe 0.5000 0.5000 0.1984 1
Hg1 Hg 0.5000 0.5000 0.7213 1
Ir1 Ir 0.0000 0.0000 0.4151 1
```



7.
The following is a calculated X-ray diffraction stick pattern of FeHgIr. It was derived from a cell relaxed with PBE, using Cu Kα (weighted mean of Kα1 and Kα2).

The 10 most intense peaks (2θ from 10° to 90°), most intense first:
| 2theta | I (rel.) | hkl |
| --- | --- | --- |
| 41.15 | 100 | 1 1 3 |
| 37.48 | 33 | 0 2 0 |
| 38.62 | 27 | 0 0 6 |
| 70.11 | 23 | 1 3 3 |
| 12.66 | 20 | 0 0 2 |
| 54.91 | 20 | 0 2 6 |
| 25.47 | 19 | 0 0 4 |
| 36.72 | 17 | 1 1 1 |
| 71.61 | 16 | 1 1 9 |
| 59.34 | 12 | 1 1 7 |

Crystal structure
```
data_FeHgIr
_cell_length_a 2.9064
_cell_length_b 4.7995
_cell_length_c 13.9863
_cell_angle_alpha 90.00
_cell_angle_beta 90.00
_cell_angle_gamma 90.00
_space_group_name_H-M_alt 'F m m 2'
_space_group_IT_number 42
_space_group_name_Hall 'F 2 -2'
loop_
_atom_site_label
_atom_site_type_symbol
_atom_site_fract_x
_atom_site_fract_y
_atom_site_fract_z
_atom_site_occupancy
Fe1 Fe 0.0000 0.0000 0.0000 1
Hg1 Hg 0.0000 0.0000 0.6718 1
Ir1 Ir 0.0000 0.0000 0.3549 1
```



8.
The following is a calculated X-ray diffraction stick pattern of FeHgIr. It was derived from a cell relaxed with PBE, using Cu Kα (weighted mean of Kα1 and Kα2).

The 10 most intense peaks (2θ from 10° to 90°), most intense first:
| 2theta | I (rel.) | hkl |
| --- | --- | --- |
| 38.72 | 100 | 0 1 1 |
| 41.39 | 71 | 1 1 0 |
| 57.96 | 31 | 2 0 1 |
| 73.69 | 31 | 1 2 1 |
| 23.54 | 27 | 1 0 0 |
| 78.23 | 19 | 1 1 2 |
| 75.47 | 12 | 3 0 0 |
| 89.94 | 8 | 2 2 0 |
| 63.01 | 6 | 0 0 2 |
| 68.25 | 5 | 1 0 2 |

Crystal structure
```
data_FeHgIr
_cell_length_a 4.3634
_cell_length_b 4.3634
_cell_length_c 2.9503
_cell_angle_alpha 90.00
_cell_angle_beta 90.00
_cell_angle_gamma 120.00
_space_group_name_H-M_alt 'P 3 m 1'
_space_group_IT_number 156
_space_group_name_Hall 'P 3 -2"'
loop_
_atom_site_label
_atom_site_type_symbol
_atom_site_fract_x
_atom_site_fract_y
_atom_site_fract_z
_atom_site_occupancy
Fe1 Fe 0.0000 0.0000 0.0000 1
Hg1 Hg 0.3333 0.6667 0.4308 1
Ir1 Ir 0.6667 0.3333 0.9014 1
```



9.
The following is a calculated X-ray diffraction stick pattern of La6FeHg2. It was derived from a cell relaxed with PBE, using Cu Kα (weighted mean of Kα1 and Kα2).

The 10 most intense peaks (2θ from 10° to 90°), most intense first:
| 2theta | I (rel.) | hkl |
| --- | --- | --- |
| 34.38 | 100 | 2 2 -2 |
| 29.80 | 94 | 0 2 2 |
| 29.36 | 40 | 2 0 0 |
| 29.67 | 37 | 2 0 -4 |
| 28.43 | 28 | 1 0 -4 |
| 28.19 | 19 | 2 1 -1 |
| 51.98 | 16 | 3 2 -6 |
| 49.20 | 16 | 2 2 2 |
| 49.60 | 15 | 2 2 -6 |
| 49.79 | 14 | 0 4 0 |

Crystal structure
```
data_La6FeHg2
_cell_length_a 7.4271
_cell_length_b 7.3252
_cell_length_c 12.7480
_cell_angle_alpha 90.00
_cell_angle_beta 125.01
_cell_angle_gamma 90.00
_space_group_name_H-M_alt 'P 1 21/c 1'
_space_group_IT_number 14
_space_group_name_Hall '-P 2ybc'
loop_
_atom_site_label
_atom_site_type_symbol
_atom_site_fract_x
_atom_site_fract_y
_atom_site_fract_z
_atom_site_occupancy
La1 La 0.1705 0.0024 0.2501 1
La2 La 0.2688 0.7321 0.0405 1
La3 La 0.3032 0.2356 0.0385 1
Fe1 Fe 0.0000 0.0000 0.0000 1
Hg1 Hg 0.2682 0.0227 0.7585 1
```



10.
The following is a calculated X-ray diffraction stick pattern of La6FeHg2N. It was derived from a cell relaxed with PBE, using Cu Kα (weighted mean of Kα1 and Kα2).

The 10 most intense peaks (2θ from 10° to 90°), most intense first:
| 2theta | I (rel.) | hkl |
| --- | --- | --- |
| 29.43 | 100 | 0 2 0 |
| 34.49 | 82 | 2 2 0 |
| 30.08 | 63 | 2 2 2 |
| 29.58 | 46 | 2 0 0 |
| 34.05 | 44 | 0 2 2 |
| 49.58 | 29 | 2 4 2 |
| 28.45 | 26 | 2 0 1 |
| 28.11 | 22 | 0 1 2 |
| 28.34 | 20 | 1 2 0 |
| 51.46 | 18 | 2 -2 1 |

Crystal structure
```
data_La6FeHg2N
_cell_length_a 7.2848
_cell_length_b 7.3561
_cell_length_c 7.3591
_cell_angle_alpha 60.64
_cell_angle_beta 61.12
_cell_angle_gamma 61.18
_space_group_name_H-M_alt 'P 1'
_space_group_IT_number 1
_space_group_name_Hall 'P 1'
loop_
_atom_site_label
_atom_site_type_symbol
_atom_site_fract_x
_atom_site_fract_y
_atom_site_fract_z
_atom_site_occupancy
La1 La 0.0000 0.0000 0.0000 1
La2 La 0.0365 0.5064 0.9285 1
La3 La 0.1392 0.4402 0.4363 1
La4 La 0.4725 0.9609 0.0745 1
La5 La 0.5565 0.8965 0.5767 1
La6 La 0.6130 0.3760 0.5329 1
Fe1 Fe 0.8144 0.7457 0.2308 1
Hg1 Hg 0.0598 0.9580 0.5154 1
Hg2 Hg 0.5555 0.4469 0.9914 1
N1 N 0.3012 0.2105 0.7526 1
```



11.
The following is a calculated X-ray diffraction stick pattern of Li5FeHgN2. It was derived from a cell relaxed with PBE, using Cu Kα (weighted mean of Kα1 and Kα2).

The 10 most intense peaks (2θ from 10° to 90°), most intense first:
| 2theta | I (rel.) | hkl |
| --- | --- | --- |
| 24.66 | 100 | 1 0 1 |
| 11.53 | 38 | 0 0 1 |
| 30.92 | 32 | 1 1 0 |
| 39.00 | 31 | 1 1 2 |
| 51.35 | 27 | 2 1 1 |
| 41.63 | 24 | 1 0 3 |
| 31.98 | 21 | 1 0 2 |
| 23.17 | 20 | 0 0 2 |
| 33.10 | 16 | 1 1 1 |
| 44.30 | 15 | 2 0 0 |

Crystal structure
```
data_Li5FeHgN2
_cell_length_a 4.0897
_cell_length_b 4.0897
_cell_length_c 7.6765
_cell_angle_alpha 90.00
_cell_angle_beta 90.00
_cell_angle_gamma 90.00
_space_group_name_H-M_alt 'P 4/m m m'
_space_group_IT_number 123
_space_group_name_Hall '-P 4 2'
loop_
_atom_site_label
_atom_site_type_symbol
_atom_site_fract_x
_atom_site_fract_y
_atom_site_fract_z
_atom_site_occupancy
Li1 Li 0.0000 0.0000 0.0000 1
Li2 Li 0.0000 0.5000 0.2772 1
Fe1 Fe 0.0000 0.0000 0.5000 1
Hg1 Hg 0.5000 0.5000 0.0000 1
N1 N 0.0000 0.0000 0.2618 1
```



12.
The following is a calculated X-ray diffraction stick pattern of Mn2Fe2Hg. It was derived from a cell relaxed with PBE, using Cu Kα (weighted mean of Kα1 and Kα2).

The 10 most intense peaks (2θ from 10° to 90°), most intense first:
| 2theta | I (rel.) | hkl |
| --- | --- | --- |
| 40.75 | 100 | 3 1 0 |
| 43.47 | 61 | 2 0 1 |
| 25.44 | 42 | 2 0 0 |
| 17.92 | 41 | 1 1 0 |
| 45.45 | 39 | 2 1 1 |
| 36.29 | 37 | 2 2 0 |
| 39.26 | 34 | 1 1 1 |
| 54.53 | 32 | 3 1 1 |
| 87.25 | 31 | 3 1 2 |
| 78.91 | 26 | 5 1 1 |

Crystal structure
```
data_Mn2Fe2Hg
_cell_length_a 7.0014
_cell_length_b 7.0014
_cell_length_c 2.5896
_cell_angle_alpha 90.00
_cell_angle_beta 90.00
_cell_angle_gamma 90.00
_space_group_name_H-M_alt 'P 4/m b m'
_space_group_IT_number 127
_space_group_name_Hall '-P 4 2ab'
loop_
_atom_site_label
_atom_site_type_symbol
_atom_site_fract_x
_atom_site_fract_y
_atom_site_fract_z
_atom_site_occupancy
Mn1 Mn 0.1175 0.3825 0.0000 1
Fe1 Fe 0.1633 0.6633 0.5000 1
Hg1 Hg 0.0000 0.0000 0.0000 1
```



13.
The following is a calculated X-ray diffraction stick pattern of Fe4HgMo2. It was derived from a cell relaxed with PBE, using Cu Kα (weighted mean of Kα1 and Kα2).

The 10 most intense peaks (2θ from 10° to 90°), most intense first:
| 2theta | I (rel.) | hkl |
| --- | --- | --- |
| 14.42 | 100 | 0 0 2 |
| 26.52 | 98 | 1 1 0 |
| 41.36 | 98 | 1 0 5 |
| 37.85 | 98 | 2 0 0 |
| 57.30 | 73 | 2 1 5 |
| 54.61 | 33 | 2 2 0 |
| 40.70 | 32 | 2 0 2 |
| 28.77 | 30 | 1 0 3 |
| 83.14 | 25 | 3 2 5 |
| 70.75 | 19 | 3 0 5 |

Crystal structure
```
data_Fe4HgMo2
_cell_length_a 4.7536
_cell_length_b 4.7536
_cell_length_c 12.2878
_cell_angle_alpha 90.00
_cell_angle_beta 90.00
_cell_angle_gamma 90.00
_space_group_name_H-M_alt 'I 4/m m m'
_space_group_IT_number 139
_space_group_name_Hall '-I 4 2'
loop_
_atom_site_label
_atom_site_type_symbol
_atom_site_fract_x
_atom_site_fract_y
_atom_site_fract_z
_atom_site_occupancy
Fe1 Fe 0.0000 0.0000 0.2105 1
Fe2 Fe 0.0000 0.5000 0.0000 1
Hg1 Hg 0.0000 0.0000 0.0000 1
Mo1 Mo 0.0000 0.0000 0.4021 1
```